# 1
Theoretical powder diffraction line list of In9Pt13 for Cu Ka, from a DFT-relaxed cell (GGA-PBE, the Materials Project).
No peak broadening, texture or thermal motion is included.

Principal peaks in the range 5 to 70 degrees two-theta, in order of falling intensity:
2θ/deg	I_rel
39.84	100.0
39.36	77.2
39.13	73.9
40.14	48.9
57.48	20.8
38.92	20.8
57.15	12.4
65.77	12.3
56.67	11.5
35.46	8.1

Structure:
Lattice parameters (Å, degrees): 7.242 7.242 9.644 117.04 117.04 76.69
Fractional coordinates of all 22 atoms:
In 0.000 0.000 0.000
In 0.203 0.203 0.668
In 0.247 0.675 0.189
In 0.322 0.322 0.382
In 0.325 0.753 0.811
In 0.675 0.247 0.189
In 0.678 0.678 0.618
In 0.753 0.325 0.811
In 0.797 0.797 0.332
Pt 0.000 0.500 0.500
Pt 0.043 0.563 0.840
Pt 0.046 0.046 0.324
Pt 0.244 0.244 0.993
Pt 0.252 0.748 0.500
Pt 0.437 0.957 0.160
Pt 0.500 0.000 0.500
Pt 0.500 0.500 0.000
Pt 0.563 0.043 0.840
Pt 0.748 0.252 0.500
Pt 0.756 0.756 0.007
Pt 0.954 0.954 0.676
Pt 0.957 0.437 0.160



# 2
Theoretical powder diffraction line list of InPt2 for Cu Ka, from a DFT-relaxed cell (GGA-PBE, the Materials Project).
No peak broadening, texture or thermal motion is included.

Principal peaks in the range 5 to 70 degrees two-theta, in order of falling intensity:
2θ/deg	I_rel
38.00	100.0
38.12	99.7
43.70	34.7
43.23	33.9
45.73	29.3
63.16	22.1
65.10	20.5
64.91	9.9
64.59	9.8
30.36	4.4

Structure:
Lattice parameters (Å, degrees): 5.755 4.143 17.340 90.00 93.05 90.00
Fractional coordinates of all 24 atoms:
In 0.001 0.000 0.331
In 0.252 0.500 0.916
In 0.275 0.500 0.239
In 0.275 0.500 0.576
In 0.725 0.500 0.424
In 0.725 0.500 0.761
In 0.748 0.500 0.084
In 0.999 0.000 0.669
Pt 0.000 0.000 0.000
Pt 0.000 0.000 0.500
Pt 0.001 0.000 0.168
Pt 0.231 0.500 0.411
Pt 0.237 0.500 0.745
Pt 0.244 0.500 0.080
Pt 0.492 0.000 0.835
Pt 0.499 0.000 0.333
Pt 0.500 0.000 0.000
Pt 0.500 0.000 0.500
Pt 0.501 0.000 0.667
Pt 0.508 0.000 0.165
Pt 0.756 0.500 0.920
Pt 0.763 0.500 0.255
Pt 0.769 0.500 0.589
Pt 0.999 0.000 0.832



# 3
Theoretical powder diffraction line list of In2Pt for Cu Ka, from a DFT-relaxed cell (GGA-PBE, the Materials Project).
No peak broadening, texture or thermal motion is included.

Principal peaks in the range 5 to 70 degrees two-theta, in order of falling intensity:
2θ/deg	I_rel
30.70	100.0
44.08	32.8
43.85	27.1
17.69	18.5
43.75	13.6
54.38	13.2
44.20	9.6
54.58	6.5
63.94	6.3
63.86	6.2

Structure:
Lattice parameters (Å, degrees): 4.129 4.129 5.014 90.15 90.15 60.15
Fractional coordinates of all 3 atoms:
In 0.167 0.167 0.273
In 0.833 0.833 0.727
Pt 0.500 0.500 0.000



# 4
Theoretical powder diffraction line list of In3Pt5 for Cu Ka, from a DFT-relaxed cell (GGA-PBE, the Materials Project).
No peak broadening, texture or thermal motion is included.

Principal peaks in the range 5 to 70 degrees two-theta, in order of falling intensity:
2θ/deg	I_rel
41.24	100.0
44.00	67.1
29.79	49.5
24.98	43.1
61.88	30.5
54.04	9.2
7.97	7.9
56.02	7.5
51.26	6.4
67.54	5.6

Structure:
Lattice parameters (Å, degrees): 4.116 4.116 11.096 90.00 90.00 120.00
Fractional coordinates of all 8 atoms:
In 0.000 0.000 0.000
In 0.667 0.333 0.265
In 0.667 0.333 0.735
Pt 0.000 0.000 0.500
Pt 0.333 0.667 0.127
Pt 0.333 0.667 0.379
Pt 0.333 0.667 0.621
Pt 0.333 0.667 0.873



Which formula does entry 4 have?
In3Pt5